Record 1
Starting from a DFT-relaxed cell (GGA-PBE, the Materials Project), the X-ray powder pattern of Ba was computed for a wavelength of 1.5418 Å.

Cell and atoms:
Cell: 4.4786 4.4786 7.3520 Å, 90.00 90.00 120.00°
Space group P6_3/mmc (No. 194)
Asymmetric unit:
Ba 0.3333 0.6667 0.2500 (multiplicity 2)

Top 12 peaks for 10 to 80 degrees two-theta, in order of rising 2θ:
(hkl)  2θ (°)  intensity
1 0 0  22.9  23
0 0 2  24.2  26
1 0 1  26.0  100
1 0 2  33.6  17
1 1 0  40.3  21
1 0 3  43.7  24
1 1 2  47.5  25
2 0 1  48.6  18
2 0 3  60.9  9
2 1 1  64.9  15
1 1 4  65.7  10
2 1 3  75.6  10

=====

Record 2
Starting from a DFT-relaxed cell (GGA-PBE, the Materials Project), the X-ray powder pattern of Cu2O3 was computed for a wavelength of 1.5418 Å.

Cell and atoms:
Cell: 2.9670 9.7712 14.8182 Å, 90.00 90.00 90.00°
Space group Cmcm (No. 63)
Asymmetric unit:
Cu 0.0000 0.0940 0.1365 (multiplicity 8)
Cu 0.0000 0.3641 0.0452 (multiplicity 8)
O 0.0000 0.0000 0.0000 (multiplicity 4)
O 0.0000 0.1749 0.2500 (multiplicity 4)
O 0.0000 0.2820 0.5755 (multiplicity 8)
O 0.0000 0.4672 0.1507 (multiplicity 8)

Top 12 peaks for 10 to 80 degrees two-theta, in order of rising 2θ:
(hkl)  2θ (°)  intensity
0 0 2  11.9  100
0 2 1  19.1  28
1 1 1  32.1  29
1 1 2  33.8  18
0 2 5  35.4  61
0 4 0  36.8  18
1 3 1  41.6  36
1 3 2  43.0  34
1 3 3  45.2  34
0 2 7  46.8  18
1 1 8  59.6  19
2 0 0  62.6  21

=====

Record 3
Starting from a DFT-relaxed cell (GGA-PBE, the Materials Project), the X-ray powder pattern of Ca3Si2As4 was computed for a wavelength of 1.5418 Å.

Cell and atoms:
Cell: 7.3265 17.7986 7.1916 Å, 90.00 111.65 90.00°
Space group P2_1/c (No. 14)
Asymmetric unit:
Ca 0.2181 0.1839 0.0135 (multiplicity 4)
Ca 0.2549 0.0595 0.5122 (multiplicity 4)
Ca 0.2615 0.5600 0.5024 (multiplicity 4)
Si 0.2124 0.6298 0.0296 (multiplicity 4)
Si 0.3163 0.7404 0.9205 (multiplicity 4)
As 0.0073 0.5614 0.7506 (multiplicity 4)
As 0.0372 0.6871 0.2220 (multiplicity 4)
As 0.4942 0.1966 0.7706 (multiplicity 4)
As 0.4994 0.5680 0.2427 (multiplicity 4)

Top 12 peaks for 10 to 80 degrees two-theta, in order of rising 2θ:
(hkl)  2θ (°)  intensity
1 4 -1  24.9  15
1 4 1  29.7  100
2 1 -2  30.2  6
0 8 0  40.6  12
3 4 -1  42.2  21
1 4 -3  42.9  20
2 0 2  44.4  14
2 8 -2  51.1  11
4 0 0  53.9  5
0 0 4  54.9  6
2 8 2  61.7  6
4 8 0  69.6  6

=====

Record 4
Starting from a DFT-relaxed cell (GGA-PBE, the Materials Project), the X-ray powder pattern of Li3SbO3 was computed for a wavelength of 1.5418 Å.

Cell and atoms:
Cell: 8.7137 8.7137 8.7137 Å, 90.00 90.00 90.00°
Space group I-43m (No. 217)
Asymmetric unit:
Li 0.0882 0.3775 0.3775 (multiplicity 24)
Sb 0.1408 0.1408 0.1408 (multiplicity 8)
O 0.1286 0.1286 0.3664 (multiplicity 24)

Top 12 peaks for 10 to 80 degrees two-theta, in order of rising 2θ:
(hkl)  2θ (°)  intensity
1 1 0  14.4  37
2 1 1  25.0  100
3 1 0  32.5  27
2 2 2  35.7  13
3 2 1  38.7  23
4 0 0  41.5  30
3 3 0  44.1  19
4 3 1  53.6  12
5 2 1  58.0  29
4 4 0  60.1  16
4 3 3  62.1  8
6 1 1  66.1  12

=====

Record 5
Starting from a DFT-relaxed cell (GGA-PBE, the Materials Project), the X-ray powder pattern of NbCr3Cu2S8 was computed for a wavelength of 1.5418 Å.

Cell and atoms:
Cell: 6.3444 7.2929 12.0686 Å, 97.57 94.83 90.60°
Space group P-1 (No. 2)
Asymmetric unit:
Nb 0.1444 0.2035 0.3011 (multiplicity 2)
Cr 0.2447 0.3817 0.9985 (multiplicity 2)
Cr 0.3681 0.0576 0.7080 (multiplicity 2)
Cr 0.3675 0.5461 0.7047 (multiplicity 2)
Cu 0.1217 0.6989 0.2901 (multiplicity 2)
Cu 0.2597 0.8697 0.0027 (multiplicity 2)
S 0.0991 0.6460 0.0992 (multiplicity 2)
S 0.1062 0.1538 0.1088 (multiplicity 2)
S 0.1928 0.2811 0.6346 (multiplicity 2)
S 0.1956 0.7861 0.6318 (multiplicity 2)
S 0.3144 0.4795 0.3729 (multiplicity 2)
S 0.3162 0.9561 0.3695 (multiplicity 2)
S 0.3888 0.1036 0.8949 (multiplicity 2)
S 0.4080 0.5949 0.8941 (multiplicity 2)

Top 12 peaks for 10 to 80 degrees two-theta, in order of rising 2θ:
(hkl)  2θ (°)  intensity
0 0 3  22.4  100
2 0 0  28.2  33
2 0 -1  28.6  38
1 -2 1  28.7  46
-1 2 1  29.7  27
2 0 1  29.9  27
1 2 -2  30.3  27
2 0 -3  34.7  27
1 -2 3  34.9  26
3 -2 0  49.6  36
0 4 -1  50.0  30
3 2 -1  50.1  30

=====

Record 6
Starting from a DFT-relaxed cell (GGA-PBE, the Materials Project), the X-ray powder pattern of SrSm3 was computed for a wavelength of 1.5418 Å.

Cell and atoms:
Cell: 5.2722 5.2722 5.2722 Å, 90.00 90.00 90.00°
Space group Pm-3m (No. 221)
Asymmetric unit:
Sr 0.0000 0.0000 0.0000 (multiplicity 1)
Sm 0.0000 0.5000 0.5000 (multiplicity 3)

Top 12 peaks for 10 to 80 degrees two-theta, in order of rising 2θ:
(hkl)  2θ (°)  intensity
1 0 0  16.8  4
1 1 0  23.9  3
1 1 1  29.3  100
2 0 0  34.0  51
2 1 0  38.2  2
2 1 1  42.0  1
2 2 0  48.9  37
3 0 0  52.0  1
3 1 1  58.0  44
2 2 2  60.9  13
4 0 0  71.6  6
3 3 1  79.2  18

=====

Record 7
Starting from a DFT-relaxed cell (GGA-PBE, the Materials Project), the X-ray powder pattern of NbO was computed for a wavelength of 1.5418 Å.

Cell and atoms:
Cell: 4.2615 4.2615 4.2615 Å, 90.00 90.00 90.00°
Space group Pm-3m (No. 221)
Asymmetric unit:
Nb 0.0000 0.0000 0.5000 (multiplicity 3)
O 0.0000 0.5000 0.5000 (multiplicity 3)

Top 11 peaks for 10 to 80 degrees two-theta, in order of rising 2θ:
(hkl)  2θ (°)  intensity
1 0 0  20.8  35
1 1 0  29.6  60
1 1 1  36.5  100
2 0 0  42.4  97
2 1 0  47.7  16
2 1 1  52.6  22
2 2 0  61.6  60
3 0 0  65.7  8
3 1 0  69.8  9
3 1 1  73.7  40
2 2 2  77.6  19

=====

Record 8
Starting from a DFT-relaxed cell (GGA-PBE, the Materials Project), the X-ray powder pattern of InCuPO5 was computed for a wavelength of 1.5418 Å.

Cell and atoms:
Cell: 7.9310 6.7146 7.3805 Å, 90.00 90.00 90.00°
Space group Pnma (No. 62)
Asymmetric unit:
In 0.1740 0.2500 0.2111 (multiplicity 4)
Cu 0.0000 0.0000 0.5000 (multiplicity 4)
P 0.1085 0.7500 0.1418 (multiplicity 4)
O 0.0636 0.2500 0.9516 (multiplicity 4)
O 0.0700 0.7500 0.6246 (multiplicity 4)
O 0.1232 0.5632 0.2692 (multiplicity 8)
O 0.2406 0.2500 0.5108 (multiplicity 4)

Top 12 peaks for 10 to 80 degrees two-theta, in order of rising 2θ:
(hkl)  2θ (°)  intensity
1 0 1  16.4  23
0 1 1  17.9  76
2 0 1  25.5  100
0 2 0  26.6  49
2 1 1  28.8  33
1 2 1  31.4  64
2 0 2  33.2  38
2 2 0  35.0  36
0 2 2  36.1  53
2 2 1  37.1  25
1 2 2  38.0  21
3 2 3  58.1  29